[1]
Zr6Ni20P13: simulated PXRD pattern (λ = 1.5418 Å (Cu Kα)), based on a DFT-relaxed cell (PBE, OQMD).
Kinematic intensities with the Lorentz-polarization factor, no thermal factor.

Main lines, in order of rising 2θ (10 to 90 degrees two-theta):
2theta, I_rel
38.03, 12
38.96, 100
50.26, 21
52.90, 25
75.97, 16
86.78, 9

a = 12.480 Å, b = 12.480 Å, c = 3.631 Å
α = 90.00°, β = 90.00°, γ = 120.00°
Fractional positions:
1 Zr 0.051 0.193 0.000
2 Zr 0.142 0.949 0.000
3 Zr 0.525 0.385 0.500
4 Zr 0.615 0.140 0.500
5 Zr 0.807 0.858 0.000
6 Zr 0.860 0.475 0.500
7 Ni 0.000 0.000 0.500
8 Ni 0.010 0.415 0.000
9 Ni 0.089 0.746 0.500
10 Ni 0.135 0.572 0.500
11 Ni 0.251 0.506 0.000
12 Ni 0.254 0.343 0.500
13 Ni 0.255 0.749 0.000
14 Ni 0.312 0.231 0.000
15 Ni 0.354 0.106 0.500
16 Ni 0.405 0.990 0.000
17 Ni 0.428 0.562 0.500
18 Ni 0.438 0.865 0.500
19 Ni 0.494 0.745 0.000
20 Ni 0.585 0.595 0.000
21 Ni 0.657 0.911 0.500
22 Ni 0.667 0.333 0.000
23 Ni 0.752 0.646 0.500
24 Ni 0.769 0.081 0.000
25 Ni 0.894 0.248 0.500
26 Ni 0.919 0.688 0.000
27 P 0.048 0.614 0.000
28 P 0.099 0.379 0.500
29 P 0.193 0.140 0.500
30 P 0.280 0.901 0.500
31 P 0.333 0.667 0.500
32 P 0.386 0.434 0.000
33 P 0.474 0.194 0.000
34 P 0.566 0.952 0.000
35 P 0.621 0.720 0.500
36 P 0.720 0.526 0.000
37 P 0.806 0.280 0.000
38 P 0.860 0.053 0.500
39 P 0.947 0.807 0.500


[2]
Zr3Ni4P4: simulated PXRD pattern (λ = 1.5418 Å (Cu Kα)), based on a DFT-relaxed cell (PBE, OQMD).
Kinematic intensities with the Lorentz-polarization factor, no thermal factor.

Main lines, in order of rising 2θ (10 to 90 degrees two-theta):
2theta, I_rel
28.07, 84
32.53, 51
37.45, 38
44.29, 52
46.67, 100
77.59, 30

a = 6.747 Å, b = 6.747 Å, c = 6.747 Å
α = 131.88°, β = 131.88°, γ = 70.42°
Fractional positions:
1 Zr 0.000 0.000 0.000
2 Zr 0.250 0.750 0.500
3 Zr 0.750 0.250 0.500
4 Ni 0.252 0.580 0.000
5 Ni 0.420 0.420 0.673
6 Ni 0.580 0.252 0.000
7 Ni 0.748 0.748 0.327
8 P 0.000 0.500 0.500
9 P 0.248 0.248 0.000
10 P 0.500 0.000 0.500
11 P 0.752 0.752 0.000


[3]
Ni8Pb: simulated PXRD pattern (λ = 1.5418 Å (Cu Kα)), based on a DFT-relaxed cell (PBE, OQMD).
Kinematic intensities with the Lorentz-polarization factor, no thermal factor.

Main lines, in order of rising 2θ (10 to 90 degrees two-theta):
2theta, I_rel
37.73, 53
42.39, 100
44.42, 100
44.93, 82
45.25, 90
52.14, 57

a = 4.269 Å, b = 4.269 Å, c = 28.595 Å
α = 90.12°, β = 90.12°, γ = 48.61°
Fractional positions:
1 Ni 0.050 0.050 0.041
2 Ni 0.149 0.149 0.850
3 Ni 0.151 0.151 0.122
4 Ni 0.248 0.248 0.203
5 Ni 0.251 0.251 0.932
6 Ni 0.350 0.350 0.014
7 Ni 0.447 0.447 0.823
8 Ni 0.449 0.449 0.096
9 Ni 0.551 0.551 0.904
10 Ni 0.553 0.553 0.177
11 Ni 0.650 0.650 0.986
12 Ni 0.749 0.749 0.068
13 Ni 0.752 0.752 0.797
14 Ni 0.849 0.849 0.878
15 Ni 0.851 0.851 0.150
16 Ni 0.950 0.950 0.959
17 Pb 0.051 0.051 0.749
18 Pb 0.949 0.949 0.251


[4]
Ni2Pb3: simulated PXRD pattern (λ = 1.5418 Å (Cu Kα)), based on a DFT-relaxed cell (PBE, OQMD).
Kinematic intensities with the Lorentz-polarization factor, no thermal factor.

Main lines, in order of rising 2θ (10 to 90 degrees two-theta):
2theta, I_rel
30.41, 16
31.09, 100
41.13, 31
47.75, 29
54.46, 21
58.08, 16

a = 7.006 Å, b = 7.006 Å, c = 7.006 Å
α = 56.19°, β = 56.19°, γ = 56.19°
Fractional positions:
1 Ni 0.175 0.175 0.175
2 Ni 0.325 0.325 0.325
3 Ni 0.675 0.675 0.675
4 Ni 0.825 0.825 0.825
5 Pb 0.106 0.750 0.394
6 Pb 0.250 0.606 0.894
7 Pb 0.394 0.106 0.750
8 Pb 0.606 0.894 0.250
9 Pb 0.750 0.394 0.106
10 Pb 0.894 0.250 0.606


[5]
Ni9Pb: simulated PXRD pattern (λ = 1.5418 Å (Cu Kα)), based on a DFT-relaxed cell (PBE, OQMD).
Kinematic intensities with the Lorentz-polarization factor, no thermal factor.

Main lines, in order of rising 2θ (10 to 90 degrees two-theta):
2theta, I_rel
11.56, 31
43.45, 100
44.62, 56
49.54, 41
54.71, 24
76.89, 22

a = 2.657 Å, b = 3.356 Å, c = 38.264 Å
α = 90.00°, β = 90.00°, γ = 90.00°
Fractional positions:
1 Ni 0.250 0.250 0.016
2 Ni 0.250 0.250 0.080
3 Ni 0.250 0.250 0.144
4 Ni 0.250 0.250 0.209
5 Ni 0.250 0.250 0.273
6 Ni 0.250 0.250 0.759
7 Ni 0.250 0.250 0.824
8 Ni 0.250 0.250 0.888
9 Ni 0.250 0.250 0.952
10 Ni 0.750 0.750 0.048
11 Ni 0.750 0.750 0.112
12 Ni 0.750 0.750 0.176
13 Ni 0.750 0.750 0.241
14 Ni 0.750 0.750 0.727
15 Ni 0.750 0.750 0.791
16 Ni 0.750 0.750 0.856
17 Ni 0.750 0.750 0.920
18 Ni 0.750 0.750 0.984
19 Pb 0.250 0.250 0.678
20 Pb 0.750 0.750 0.322


[6]
Sm3NiPt2Pb3: simulated PXRD pattern (λ = 1.5418 Å (Cu Kα)), based on a DFT-relaxed cell (PBE, OQMD).
Kinematic intensities with the Lorentz-polarization factor, no thermal factor.

Main lines, in order of rising 2θ (10 to 90 degrees two-theta):
2theta, I_rel
32.08, 100
34.77, 70
35.01, 66
39.88, 35
41.93, 35
64.29, 31

a = 7.831 Å, b = 7.831 Å, c = 3.977 Å
α = 90.00°, β = 90.00°, γ = 120.00°
Fractional positions:
1 Sm 0.000 0.594 0.000
2 Sm 0.406 0.406 0.000
3 Sm 0.594 0.000 0.000
4 Ni 0.000 0.000 0.000
5 Pt 0.333 0.667 0.500
6 Pt 0.667 0.333 0.500
7 Pb 0.000 0.251 0.500
8 Pb 0.251 0.000 0.500
9 Pb 0.749 0.749 0.500


[7]
SmNi2SbPb: simulated PXRD pattern (λ = 1.5418 Å (Cu Kα)), based on a DFT-relaxed cell (PBE, OQMD).
Kinematic intensities with the Lorentz-polarization factor, no thermal factor.

Main lines, in order of rising 2θ (10 to 90 degrees two-theta):
2theta, I_rel
29.84, 30
32.73, 37
33.41, 100
40.83, 58
45.23, 24
69.63, 24

a = 4.420 Å, b = 4.420 Å, c = 10.454 Å
α = 90.00°, β = 90.00°, γ = 90.00°
Fractional positions:
1 Sm 0.250 0.250 0.229
2 Sm 0.750 0.750 0.771
3 Ni 0.250 0.250 0.644
4 Ni 0.250 0.750 0.000
5 Ni 0.750 0.250 0.000
6 Ni 0.750 0.750 0.356
7 Sb 0.250 0.250 0.876
8 Sb 0.750 0.750 0.124
9 Pb 0.250 0.750 0.500
10 Pb 0.750 0.250 0.500


[8]
Ni3Sn2Pb3: simulated PXRD pattern (λ = 1.5418 Å (Cu Kα)), based on a DFT-relaxed cell (PBE, OQMD).
Kinematic intensities with the Lorentz-polarization factor, no thermal factor.

Main lines, in order of rising 2θ (10 to 90 degrees two-theta):
2theta, I_rel
27.29, 15
28.17, 48
36.89, 100
49.86, 19
56.31, 15
69.17, 14

a = 7.315 Å, b = 7.315 Å, c = 3.814 Å
α = 90.00°, β = 90.00°, γ = 120.00°
Fractional positions:
1 Ni 0.200 0.400 0.000
2 Ni 0.200 0.800 0.000
3 Ni 0.600 0.800 0.000
4 Sn 0.333 0.667 0.500
5 Sn 0.667 0.333 0.000
6 Pb 0.285 0.143 0.500
7 Pb 0.857 0.143 0.500
8 Pb 0.857 0.715 0.500